No. 1
Structure and theoretical X-ray powder pattern of MgV4O4F8 (DFT lattice parameters and positions (GGA+U); Cu Kα).

Crystal structure
```
17
Lattice="5.177 0.000 0.000 2.458 4.642 0.000 2.083 1.350 9.122" Properties=species:S:1:pos:R:3 pbc="T T T"
Mg 0.000 0.000 0.000
V 2.452 1.396 5.038
V 4.894 2.890 7.193
V 5.135 2.981 0.470
V 7.408 4.245 2.917
O 3.517 2.459 6.187
O 6.300 2.989 8.406
O 6.250 4.145 1.437
O 7.076 2.927 3.894
F 3.806 4.255 8.330
F 3.879 4.824 3.855
F 3.468 3.355 1.518
F 4.004 1.275 8.473
F 5.482 4.384 6.112
F 3.988 1.042 3.802
F 6.039 1.559 6.217
F 5.709 1.317 1.462
```

Largest 10 diffraction maxima, in order of falling intensity, 2θ = 10–80°:
d [Å]  I (rel.)  (hkl)
3.871  100  1 0 -1
3.647  50  1 1 2
2.692  20  1 0 3
1.940  13  0 2 -2
1.932  13  2 0 -2
2.789  11  1 1 -2
2.726  11  0 1 3
1.823  10  2 2 4
1.669  9  2 1 5
2.299  9  2 1 -1

No. 2
Structure and theoretical X-ray powder pattern of MgV6O5F19 (DFT lattice parameters and positions (GGA+U); Cu Kα).

Crystal structure
```
31
Lattice="5.413 0.000 0.000 -0.158 5.494 0.000 -0.124 -2.730 15.275" Properties=species:S:1:pos:R:3 pbc="T T T"
Mg 0.000 0.000 0.000
V 1.046 1.669 3.053
V 0.994 1.260 12.724
V 1.049 3.847 7.887
V 3.554 4.479 2.979
V 3.869 -1.283 12.717
V 4.105 1.062 7.884
O -0.120 2.796 3.100
O -0.028 -0.109 12.925
O 0.069 2.546 8.179
O 2.572 0.167 2.714
O 5.109 -0.214 8.156
F 0.819 1.288 1.156
F 0.735 4.222 6.191
F 1.056 1.566 10.969
F 1.171 1.634 14.642
F 1.599 1.635 4.718
F 1.631 -1.112 9.530
F 2.188 3.050 12.742
F 2.448 2.853 2.518
F 2.522 0.255 7.512
F 2.624 3.043 7.575
F 2.721 0.245 12.705
F 3.506 4.014 4.715
F 3.584 1.520 9.520
F 3.887 -1.446 14.603
F 4.137 -1.479 11.008
F 4.267 4.349 1.127
F 4.360 1.480 6.186
F 4.902 2.591 13.055
F 5.322 0.159 3.342
```

Largest 10 diffraction maxima, in order of falling intensity, 2θ = 10–80°:
d [Å]  I (rel.)  (hkl)
5.091  100  0 0 3
3.571  52  1 1 -2
3.639  50  1 -1 2
3.551  48  1 1 1
3.664  45  -1 1 1
1.900  21  2 2 -1
2.546  18  0 0 6
1.956  18  2 -2 1
1.697  16  0 0 9
2.705  11  2 0 0

No. 3
Structure and theoretical X-ray powder pattern of MgV6O5F19 (DFT lattice parameters and positions (GGA+U); Cu Kα).

Crystal structure
```
31
Lattice="5.245 0.000 0.000 0.103 5.504 0.000 0.152 2.747 15.404" Properties=species:S:1:pos:R:3 pbc="T T T"
Mg 0.000 0.000 0.000
V 2.434 2.973 3.589
V 2.636 6.036 8.580
V 2.684 3.258 13.529
V 4.981 5.994 13.438
V 5.061 5.754 3.564
V 5.115 3.418 8.512
O 1.436 1.719 3.869
O 3.747 4.895 13.171
O 3.868 4.715 3.147
O 4.146 4.703 8.160
O 4.322 7.548 13.160
F 0.555 3.046 6.925
F 0.502 0.401 1.771
F 0.870 5.805 12.109
F 1.042 4.251 14.270
F 1.123 1.680 9.008
F 1.200 4.407 3.963
F 1.461 4.453 8.913
F 1.703 7.329 14.273
F 2.034 3.147 11.898
F 2.162 3.242 1.836
F 2.265 5.943 6.862
F 3.228 5.942 10.251
F 3.152 3.244 5.192
F 3.532 3.365 15.276
F 3.759 2.059 8.236
F 4.002 1.930 3.113
F 4.841 6.058 5.307
F 4.846 3.261 10.258
F 4.957 6.264 15.295
```

Largest 10 diffraction maxima, in order of falling intensity, 2θ = 10–80°:
d [Å]  I (rel.)  (hkl)
5.135  100  0 0 3
3.591  82  1 1 -1
3.533  77  1 -1 1
2.752  15  0 2 1
1.799  12  -1 1 8
1.916  12  2 2 1
2.312  10  1 0 6
1.881  10  -2 2 1
2.288  10  -2 1 2
1.717  8  1 3 0

No. 4
Structure and theoretical X-ray powder pattern of MgV6O5F19 (DFT lattice parameters and positions (GGA+U); Cu Kα).

Crystal structure
```
31
Lattice="5.343 0.000 0.000 0.050 5.430 0.000 0.066 2.547 15.253" Properties=species:S:1:pos:R:3 pbc="T T T"
Mg 0.000 0.000 0.000
V 1.445 4.075 12.812
V 1.601 6.522 7.869
V 1.713 4.312 2.989
V 3.809 6.684 12.772
V 4.154 3.947 7.929
V 4.226 1.579 3.073
O 2.565 2.426 12.608
O 2.583 5.237 7.565
O 2.979 5.174 12.728
O 2.964 5.375 2.694
O 5.248 2.844 3.149
F 0.256 5.663 3.365
F 0.257 2.827 8.299
F 0.357 5.592 13.229
F 0.913 1.444 6.258
F 0.969 4.035 11.135
F 0.987 4.250 1.144
F 1.602 3.743 14.673
F 1.762 3.886 4.738
F 1.845 6.730 9.615
F 2.694 2.602 2.551
F 2.930 2.436 7.594
F 3.622 4.042 9.619
F 3.666 1.461 4.735
F 3.957 6.801 14.667
F 4.487 4.103 6.207
F 4.558 6.735 11.182
F 4.529 1.274 1.181
F 5.201 2.858 13.243
F 5.336 5.530 8.260
```

Largest 10 diffraction maxima, in order of falling intensity, 2θ = 10–80°:
d [Å]  I (rel.)  (hkl)
5.084  100  0 0 3
3.581  96  1 1 -1
3.563  49  1 -1 1
3.541  48  -1 1 2
2.543  19  0 0 6
1.913  18  2 2 1
1.895  17  -2 2 1
1.694  15  0 0 9
2.715  13  0 2 1
2.296  10  1 0 6

No. 5
Structure and theoretical X-ray powder pattern of MgV3OF11 (DFT lattice parameters and positions (GGA+U); Cu Kα).

Crystal structure
```
16
Lattice="5.198 0.000 0.000 -0.881 5.728 0.000 -1.447 -0.941 7.205" Properties=species:S:1:pos:R:3 pbc="T T T"
Mg 0.000 0.000 0.000
V -0.889 3.825 2.883
V 1.549 3.314 0.093
V 2.926 1.813 4.797
O -1.316 2.914 6.475
F -1.223 5.436 1.939
F -0.599 2.091 3.635
F 1.184 1.503 0.554
F -0.087 4.610 4.227
F 0.765 3.791 1.838
F 1.218 1.682 5.926
F 2.116 1.069 3.371
F 1.061 4.024 7.047
F 3.333 3.024 1.455
F 2.715 3.666 3.998
F 3.510 0.198 5.659
```

Largest 10 diffraction maxima, in order of falling intensity, 2θ = 10–80°:
d [Å]  I (rel.)  (hkl)
3.721  100  -1 1 1
5.680  90  0 1 0
3.469  62  1 -1 1
3.759  58  1 0 1
2.767  35  0 2 -1
1.704  32  1 -3 2
2.303  30  2 0 -2
2.881  29  1 1 1
3.276  28  1 0 -2
2.257  28  1 1 2

No. 6
Structure and theoretical X-ray powder pattern of MgV6O5F19 (DFT lattice parameters and positions (GGA+U); Cu Kα).

Crystal structure
```
31
Lattice="5.254 0.000 0.000 -0.016 5.462 0.000 -0.024 -2.697 15.295" Properties=species:S:1:pos:R:3 pbc="T T T"
Mg 0.000 0.000 0.000
V 2.572 -0.125 8.704
V 2.624 2.484 3.637
V 2.674 2.397 13.701
V 4.958 2.609 8.706
V 5.004 -0.259 13.668
V 5.172 -0.394 3.674
O 3.543 1.174 9.031
O 3.579 -1.612 14.093
O 3.609 3.794 3.894
O 4.004 -1.556 9.039
O 4.129 1.316 14.198
F 0.255 2.001 0.161
F 0.278 -0.534 5.396
F 0.271 2.130 10.315
F 0.882 -2.049 13.454
F 1.006 0.690 8.282
F 1.031 3.471 3.236
F 1.272 3.425 8.282
F 1.363 0.739 3.251
F 1.389 0.722 13.436
F 1.866 4.924 0.141
F 1.992 2.189 5.264
F 2.016 -0.604 10.317
F 2.830 2.274 11.955
F 2.861 2.243 1.890
F 2.933 -0.476 7.006
F 3.974 1.160 3.969
F 4.603 2.268 7.004
F 4.665 -0.340 11.952
F 4.676 5.091 1.811
```

Largest 10 diffraction maxima, in order of falling intensity, 2θ = 10–80°:
d [Å]  I (rel.)  (hkl)
3.550  100  1 1 1
5.098  66  0 0 3
1.794  11  1 1 -8
2.306  11  2 -1 2
2.731  10  0 2 -1
1.699  9  0 0 9
1.774  9  2 -2 4
1.896  8  2 -2 1
1.891  8  2 2 -1
1.696  8  1 3 0

What did the second record say?
Structure and theoretical X-ray powder pattern of MgV6O5F19 (DFT lattice parameters and positions (GGA+U); Cu Kα).

Crystal structure
```
31
Lattice="5.413 0.000 0.000 -0.158 5.494 0.000 -0.124 -2.730 15.275" Properties=species:S:1:pos:R:3 pbc="T T T"
Mg 0.000 0.000 0.000
V 1.046 1.669 3.053
V 0.994 1.260 12.724
V 1.049 3.847 7.887
V 3.554 4.479 2.979
V 3.869 -1.283 12.717
V 4.105 1.062 7.884
O -0.120 2.796 3.100
O -0.028 -0.109 12.925
O 0.069 2.546 8.179
O 2.572 0.167 2.714
O 5.109 -0.214 8.156
F 0.819 1.288 1.156
F 0.735 4.222 6.191
F 1.056 1.566 10.969
F 1.171 1.634 14.642
F 1.599 1.635 4.718
F 1.631 -1.112 9.530
F 2.188 3.050 12.742
F 2.448 2.853 2.518
F 2.522 0.255 7.512
F 2.624 3.043 7.575
F 2.721 0.245 12.705
F 3.506 4.014 4.715
F 3.584 1.520 9.520
F 3.887 -1.446 14.603
F 4.137 -1.479 11.008
F 4.267 4.349 1.127
F 4.360 1.480 6.186
F 4.902 2.591 13.055
F 5.322 0.159 3.342
```

Largest 10 diffraction maxima, in order of falling intensity, 2θ = 10–80°:
d [Å]  I (rel.)  (hkl)
5.091  100  0 0 3
3.571  52  1 1 -2
3.639  50  1 -1 2
3.551  48  1 1 1
3.664  45  -1 1 1
1.900  21  2 2 -1
2.546  18  0 0 6
1.956  18  2 -2 1
1.697  16  0 0 9
2.705  11  2 0 0